Entry 1:
For Cd4Au, the PBE geometry in Alexandria gives the simulated PXRD pattern in this record (Cu Kα).
Kinematic intensities with the Lorentz-polarization factor, no thermal factor.

Most intense lines, 2θ = 10–90°, most intense first:
two_theta  I (rel.)  h k l
33.5  100  1 1 0
38.1  70  0 1 5
38.8  66  1 0 5
62.3  40  1 2 5
63.9  29  2 1 5
72.6  20  1 1 10
46.7  19  0 2 0
49.3  18  2 0 0
70.3  12  2 2 0
11.9  11  0 0 2
78.2  8  1 3 0
82.1  8  3 1 0

a b c (Å): 3.695 3.886 14.898
angles (deg): 90.00 90.00 90.00
Space group Immm (No. 71)
Symmetry-distinct sites (fractional):
Cd (0.000, 0.000, 0.097) [4 per cell]
Cd (0.000, 0.000, 0.302) [4 per cell]
Au (0.000, 0.000, 0.500) [2 per cell]



Entry 2:
For Pr3Sm4Y3, the PBE geometry in Alexandria gives the simulated PXRD pattern in this record (Cu Kα).
Kinematic intensities with the Lorentz-polarization factor, no thermal factor.

Most intense lines, 2θ = 10–90°, most intense first:
two_theta  I (rel.)  h k l
31.6  100  1 3 1
31.5  96  1 1 3
29.5  49  0 2 4
29.7  48  0 4 2
30.1  33  1 2 2
57.5  31  1 7 3
13.1  19  0 0 2
48.1  19  2 0 0
57.2  19  1 3 7
37.7  18  0 4 4
79.2  17  3 3 1
57.4  15  2 2 4

a b c (Å): 3.785 13.436 13.565
angles (deg): 90.00 90.00 90.00
Space group Amm2 (No. 38)
Symmetry-distinct sites (fractional):
Pr (0.000, 0.000, 0.000) [2 per cell]
Pr (0.000, 0.171, 0.671) [4 per cell]
Sm (0.500, 0.000, 0.542) [2 per cell]
Sm (0.500, 0.000, 0.800) [2 per cell]
Sm (0.500, 0.128, 0.173) [4 per cell]
Y (0.000, 0.000, 0.343) [2 per cell]
Y (0.500, 0.246, 0.420) [4 per cell]



Entry 3:
For Pa2CdGa9, the PBE geometry in Alexandria gives the simulated PXRD pattern in this record (Cu Kα).
Kinematic intensities with the Lorentz-polarization factor, no thermal factor.

Most intense lines, 2θ = 10–90°, most intense first:
two_theta  I (rel.)  h k l
36.3  100  1 1 3
42.1  33  2 0 0
73.1  25  3 1 3
61.2  21  2 0 6
29.5  21  1 0 3
42.3  16  0 0 6
20.7  16  1 0 0
73.4  12  1 1 9
61.0  11  2 2 0
77.0  11  2 2 6
20.8  8  0 0 3
47.3  8  2 1 0

a b c (Å): 4.296 4.296 12.815
angles (deg): 90.00 90.00 90.00
Space group P4/mmm (No. 123)
Symmetry-distinct sites (fractional):
Pa (0.000, 0.000, 0.166) [2 per cell]
Cd (0.000, 0.000, 0.500) [1 per cell]
Ga (0.000, 0.500, 0.000) [2 per cell]
Ga (0.000, 0.500, 0.337) [4 per cell]
Ga (0.500, 0.500, 0.158) [2 per cell]
Ga (0.500, 0.500, 0.500) [1 per cell]



Entry 4:
For Zn9PdRu2, the PBE geometry in Alexandria gives the simulated PXRD pattern in this record (Cu Kα).
Kinematic intensities with the Lorentz-polarization factor, no thermal factor.

Most intense lines, 2θ = 10–90°, most intense first:
two_theta  I (rel.)  h k l
40.8  100  1 1 3
47.6  32  2 0 0
84.0  22  3 1 3
69.2  19  2 0 6
47.0  16  0 0 6
83.1  11  1 1 9
88.3  10  2 2 6
69.7  10  2 2 0
23.3  3  1 0 0
33.0  2  1 0 3
23.0  1  0 0 3
33.2  1  1 1 0

a b c (Å): 3.818 3.818 11.591
angles (deg): 90.00 90.00 90.00
Space group P4/mmm (No. 123)
Symmetry-distinct sites (fractional):
Zn (0.000, 0.000, 0.000) [1 per cell]
Zn (0.000, 0.000, 0.332) [2 per cell]
Zn (0.000, 0.500, 0.171) [4 per cell]
Zn (0.000, 0.500, 0.500) [2 per cell]
Pd (0.500, 0.500, 0.000) [1 per cell]
Ru (0.500, 0.500, 0.339) [2 per cell]



Entry 5:
For Na3Nb2O7, the PBE geometry in Alexandria gives the simulated PXRD pattern in this record (Cu Kα).
Kinematic intensities with the Lorentz-polarization factor, no thermal factor.

Most intense lines, 2θ = 10–90°, most intense first:
two_theta  I (rel.)  h k l
22.6  100  1 0 1
31.2  98  1 0 5
31.5  66  1 1 0
17.4  63  0 0 4
45.2  53  2 0 0
56.0  38  2 1 5
65.2  29  2 0 10
44.3  26  0 0 10
55.4  24  1 1 10
45.9  22  1 0 9
51.1  20  2 1 1
25.8  16  1 0 3

a b c (Å): 4.013 4.013 20.437
angles (deg): 90.00 90.00 90.00
Space group I4/mmm (No. 139)
Symmetry-distinct sites (fractional):
Na (0.000, 0.000, 0.000) [2 per cell]
Na (0.000, 0.000, 0.193) [4 per cell]
Nb (0.000, 0.000, 0.396) [4 per cell]
O (0.000, 0.000, 0.305) [4 per cell]
O (0.000, 0.000, 0.500) [2 per cell]
O (0.000, 0.500, 0.096) [8 per cell]



Entry 6:
For Na8B13C3, the PBE geometry in Alexandria gives the simulated PXRD pattern in this record (Cu Kα).
Kinematic intensities with the Lorentz-polarization factor, no thermal factor.

Most intense lines, 2θ = 10–90°, most intense first:
two_theta  I (rel.)  h k l
41.3  100  9 1 -1
40.8  50  6 0 2
42.1  36  16 0 0
35.4  18  1 1 -1
62.7  18  3 1 -3
78.4  17  13 1 3
76.4  12  25 1 -1
78.6  11  6 2 2
34.8  11  2 0 -2
56.1  10  15 1 1
63.9  9  0 2 0
79.5  8  16 2 0

a b c (Å): 34.755 2.914 5.162
angles (deg): 90.00 98.54 90.00
Space group Cm (No. 8)
Symmetry-distinct sites (fractional):
Na (0.000, 0.000, 0.000) [2 per cell]
Na (0.000, 0.500, 0.499) [2 per cell]
Na (0.126, 0.000, 0.126) [2 per cell]
Na (0.126, 0.500, 0.625) [2 per cell]
Na (0.251, 0.500, 0.749) [2 per cell]
Na (0.252, 0.000, 0.251) [2 per cell]
Na (0.374, 0.000, 0.373) [2 per cell]
Na (0.374, 0.500, 0.873) [2 per cell]
B (0.063, 0.000, 0.399) [2 per cell]
B (0.063, 0.000, 0.727) [2 per cell]
B (0.063, 0.500, 0.227) [2 per cell]
B (0.063, 0.500, 0.899) [2 per cell]
B (0.189, 0.000, 0.510) [2 per cell]
B (0.189, 0.000, 0.844) [2 per cell]
B (0.189, 0.500, 0.050) [2 per cell]
B (0.313, 0.000, 0.981) [2 per cell]
B (0.313, 0.500, 0.481) [2 per cell]
B (0.437, 0.000, 0.101) [2 per cell]
B (0.437, 0.000, 0.772) [2 per cell]
B (0.437, 0.500, 0.272) [2 per cell]
B (0.437, 0.500, 0.601) [2 per cell]
C (0.189, 0.500, 0.353) [2 per cell]
C (0.312, 0.000, 0.646) [2 per cell]
C (0.313, 0.500, 0.146) [2 per cell]